Structure and computed PXRD pattern of MgHg2Br (a structure optimized by DFT (GGA-PBE); Cu Kα (λ = 1.5418 Å)).

Principal peaks in the range 2θ = 10–90°, in order of rising 2θ:
2θ 16.87, d 5.256, intensity 32; 2θ 25.57, d 3.484, intensity 31; 2θ 28.75, d 3.106, intensity 43; 2θ 30.77, d 2.906, intensity 37; 2θ 33.43, d 2.681, intensity 100; 2θ 36.44, d 2.465, intensity 19; 2θ 38.85, d 2.318, intensity 21; 2θ 47.06, d 1.931, intensity 19; 2θ 53.98, d 1.699, intensity 26; 2θ 57.73, d 1.597, intensity 12; 2θ 58.91, d 1.568, intensity 12; 2θ 60.95, d 1.520, intensity 13

Atomic structure:
Cell lengths 6.1181, 6.1181, 6.1181 Å; angles 144.56, 118.99, 72.58 degrees
Element x y z (fractional)
Mg: 0.0000 0.0000 0.0000
Hg: 0.5096 0.5096 0.0000
Hg: 0.7765 0.2765 0.5000
Br: 0.1847 0.6847 0.5000

---

Structure and computed PXRD pattern of Ce7Ge3N2 (a structure optimized by DFT (GGA-PBE); Cu Kα (λ = 1.5418 Å)).

Principal peaks in the range 2θ = 10–90°, in order of rising 2θ:
2θ 32.61, d 2.746, intensity 100; 2θ 37.25, d 2.414, intensity 20; 2θ 37.75, d 2.383, intensity 17; 2θ 38.50, d 2.338, intensity 18; 2θ 54.08, d 1.696, intensity 12; 2θ 54.64, d 1.680, intensity 13; 2θ 55.02, d 1.669, intensity 11; 2θ 64.25, d 1.450, intensity 14; 2θ 64.93, d 1.436, intensity 11; 2θ 65.95, d 1.416, intensity 13; 2θ 68.33, d 1.373, intensity 11; 2θ 89.10, d 1.099, intensity 5

Atomic structure:
Cell lengths 12.1570, 12.1570, 4.6767 Å; angles 90.00, 90.00, 157.09 degrees
Element x y z (fractional)
Ce: 0.0000 0.0000 0.0000
Ce: 0.0950 0.9050 0.5000
Ce: 0.2064 0.7936 0.0000
Ce: 0.3990 0.6010 0.0000
Ce: 0.6010 0.3990 0.0000
Ce: 0.7936 0.2064 0.0000
Ce: 0.9050 0.0950 0.5000
Ge: 0.3111 0.6889 0.5000
Ge: 0.5000 0.5000 0.5000
Ge: 0.6889 0.3111 0.5000
N: 0.1052 0.8948 0.0000
N: 0.8948 0.1052 0.0000

---

Structure and computed PXRD pattern of Cs2TlInPb2 (a structure optimized by DFT (GGA-PBE); Cu Kα (λ = 1.5418 Å)).

Principal peaks in the range 2θ = 10–90°, in order of rising 2θ:
2θ 25.67, d 3.470, intensity 97; 2θ 25.86, d 3.445, intensity 22; 2θ 30.86, d 2.897, intensity 82; 2θ 30.98, d 2.887, intensity 82; 2θ 34.28, d 2.616, intensity 100; 2θ 37.93, d 2.372, intensity 25; 2θ 42.66, d 2.119, intensity 44; 2θ 43.23, d 2.093, intensity 23; 2θ 43.40, d 2.085, intensity 24; 2θ 49.11, d 1.855, intensity 24; 2θ 59.20, d 1.561, intensity 25; 2θ 59.40, d 1.556, intensity 26

Atomic structure:
Cell lengths 10.6471, 10.6471, 10.6471 Å; angles 139.20, 58.87, 139.46 degrees
Element x y z (fractional)
Cs: 0.1664 0.2406 0.4070
Cs: 0.3336 0.7406 0.0742
Cs: 0.6664 0.2594 0.9258
Cs: 0.8336 0.7594 0.5930
Tl: 0.2500 0.2500 0.0000
Tl: 0.7500 0.7500 0.0000
In: 0.2500 0.7500 0.5000
In: 0.7500 0.2500 0.5000
Pb: 0.0993 0.7359 0.8352
Pb: 0.4007 0.2359 0.6365
Pb: 0.5993 0.7641 0.3635
Pb: 0.9007 0.2641 0.1648

---

Structure and computed PXRD pattern of Fe3Ni4 (a structure optimized by DFT (GGA-PBE); Cu Kα (λ = 1.5418 Å)).

Principal peaks in the range 2θ = 10–90°, in order of rising 2θ:
2θ 37.82, d 2.379, intensity 1; 2θ 39.68, d 2.271, intensity 2; 2θ 41.58, d 2.172, intensity 1; 2θ 45.04, d 2.013, intensity 100; 2θ 46.69, d 1.945, intensity 1; 2θ 51.50, d 1.774, intensity 2; 2θ 65.59, d 1.423, intensity 13; 2θ 83.08, d 1.163, intensity 19; 2θ 83.24, d 1.161, intensity 5; 2θ 84.26, d 1.149, intensity 1; 2θ 86.71, d 1.123, intensity 1; 2θ 89.14, d 1.098, intensity 1

Atomic structure:
Cell lengths 6.3687, 6.3687, 6.3687 Å; angles 113.60, 113.60, 113.60 degrees
Element x y z (fractional)
Fe: 0.0353 0.6245 0.7549
Fe: 0.2451 0.9647 0.3755
Fe: 0.3755 0.2451 0.9647
Fe: 0.6245 0.7549 0.0353
Fe: 0.7549 0.0353 0.6245
Fe: 0.9647 0.3755 0.2451
Ni: 0.0000 0.0000 0.0000
Ni: 0.1085 0.2568 0.5644
Ni: 0.2568 0.5644 0.1085
Ni: 0.4356 0.8915 0.7432
Ni: 0.5000 0.5000 0.5000
Ni: 0.5644 0.1085 0.2568
Ni: 0.7432 0.4356 0.8915
Ni: 0.8915 0.7432 0.4356